Diffraction record for Rb3La3ErTe8. The powder XRD pattern is theoretical, not measured: it uses a cell relaxed with PBE and Cu Kα.
Intensities are scaled so that the largest is 100.

Top 8 peaks for 2θ = 15–90°, in order of rising 2θ:
2θ 26.04, I = 100
2θ 32.69, I = 17
2θ 35.34, I = 34
2θ 38.90, I = 37
2θ 44.16, I = 12
2θ 47.42, I = 19
2θ 53.57, I = 10
2θ 62.94, I = 16

Crystal structure
```
Rb3La3ErTe8
1.0
8.025 -4.627 0.000
8.025 4.627 0.000
-5.356 0.000 8.751
Rb La Er Te
3 3 1 8
direct
0.000 0.000 0.000
0.000 0.500 0.000
0.500 0.000 0.000
0.000 0.500 0.500
0.500 0.000 0.500
0.500 0.500 0.500
0.000 0.000 0.500
0.226 0.226 0.699
0.226 0.746 0.699
0.254 0.774 0.301
0.264 0.264 0.292
0.736 0.736 0.708
0.746 0.226 0.699
0.774 0.254 0.301
0.774 0.774 0.301
```



Diffraction record for Ho4CdPtAu2. The powder XRD pattern is theoretical, not measured: it uses a cell relaxed with PBE and Cu Kα.
Intensities are scaled so that the largest is 100.

Top 8 peaks for 2θ = 15–90°, in order of rising 2θ:
2θ 35.28, I = 87
2θ 35.45, I = 100
2θ 48.68, I = 11
2θ 50.88, I = 31
2θ 63.53, I = 32
2θ 63.64, I = 18
2θ 75.01, I = 11
2θ 85.70, I = 14

Crystal structure
```
Ho4CdPtAu2
1.0
2.532 1.462 8.327
-2.532 1.462 8.327
0.000 -2.924 8.327
Ho Cd Pt Au
4 1 1 2
direct
0.117 0.117 0.117
0.369 0.369 0.369
0.631 0.631 0.631
0.883 0.883 0.883
0.500 0.500 0.500
0.000 0.000 0.000
0.239 0.239 0.239
0.761 0.761 0.761
```



Diffraction record for Na3Sc2P3O12. The powder XRD pattern is theoretical, not measured: it uses a cell relaxed with PBE and Cu Kα.
Intensities are scaled so that the largest is 100.

Top 8 peaks for 2θ = 15–90°, in order of rising 2θ:
2θ 18.93, I = 54
2θ 22.77, I = 83
2θ 27.46, I = 35
2θ 30.27, I = 100
2θ 30.54, I = 28
2θ 34.47, I = 37
2θ 46.52, I = 38
2θ 59.15, I = 29

Crystal structure
```
Na3Sc2P3O12
1.0
4.506 2.602 7.815
-4.506 2.602 7.815
0.000 -5.203 7.815
Na Sc P O
6 4 6 24
direct
0.123 0.750 0.377
0.250 0.623 0.877
0.377 0.123 0.750
0.623 0.877 0.250
0.750 0.377 0.123
0.877 0.250 0.623
0.152 0.152 0.152
0.348 0.348 0.348
0.652 0.652 0.652
0.848 0.848 0.848
0.039 0.461 0.750
0.250 0.961 0.539
0.461 0.750 0.039
0.539 0.250 0.961
0.750 0.039 0.461
0.961 0.539 0.250
0.018 0.637 0.749
0.073 0.299 0.921
0.079 0.927 0.701
0.137 0.518 0.249
0.201 0.427 0.579
0.249 0.137 0.518
0.251 0.982 0.363
0.299 0.921 0.073
0.363 0.251 0.982
0.421 0.799 0.573
0.427 0.579 0.201
0.482 0.751 0.863
0.518 0.249 0.137
0.573 0.421 0.799
0.579 0.201 0.427
0.637 0.749 0.018
0.701 0.079 0.927
0.749 0.018 0.637
0.751 0.863 0.482
0.799 0.573 0.421
0.863 0.482 0.751
0.921 0.073 0.299
0.927 0.701 0.079
0.982 0.363 0.251
```



Diffraction record for La6Pm3Sm. The powder XRD pattern is theoretical, not measured: it uses a cell relaxed with PBE and Cu Kα.
Intensities are scaled so that the largest is 100.

Top 8 peaks for 2θ = 15–90°, in order of rising 2θ:
2θ 27.84, I = 72
2θ 28.18, I = 51
2θ 28.55, I = 25
2θ 30.45, I = 100
2θ 31.03, I = 43
2θ 31.57, I = 26
2θ 32.90, I = 60
2θ 33.40, I = 31

Crystal structure
```
La6Pm3Sm
1.0
5.505 -9.828 0.000
5.505 9.828 0.000
0.000 0.000 6.610
La Pm Sm
12 6 2
direct
0.031 0.969 0.500
0.068 0.482 0.978
0.283 0.717 0.693
0.288 0.366 0.796
0.366 0.288 0.296
0.482 0.068 0.478
0.518 0.932 0.978
0.634 0.712 0.796
0.712 0.634 0.296
0.717 0.283 0.193
0.932 0.518 0.478
0.969 0.031 0.000
0.057 0.296 0.389
0.296 0.057 0.889
0.383 0.617 0.264
0.617 0.383 0.764
0.704 0.943 0.389
0.943 0.704 0.889
0.186 0.814 0.250
0.814 0.186 0.750
```



Diffraction record for Mg3Sc2Hg3. The powder XRD pattern is theoretical, not measured: it uses a cell relaxed with PBE and Cu Kα.
Intensities are scaled so that the largest is 100.

Top 8 peaks for 2θ = 15–90°, in order of rising 2θ:
2θ 21.16, I = 25
2θ 22.08, I = 23
2θ 25.55, I = 95
2θ 27.87, I = 23
2θ 36.38, I = 91
2θ 36.50, I = 100
2θ 52.49, I = 32
2θ 65.65, I = 50

Crystal structure
```
Mg3Sc2Hg3
1.0
2.462 1.421 8.079
-2.462 1.421 8.079
0.000 -2.842 8.079
Mg Sc Hg
3 2 3
direct
0.000 0.000 0.000
0.128 0.128 0.128
0.506 0.506 0.506
0.257 0.257 0.257
0.746 0.746 0.746
0.385 0.385 0.385
0.626 0.626 0.626
0.868 0.868 0.868
```



Diffraction record for TbPm3Y4. The powder XRD pattern is theoretical, not measured: it uses a cell relaxed with PBE and Cu Kα.
Intensities are scaled so that the largest is 100.

Top 8 peaks for 2θ = 15–90°, in order of rising 2θ:
2θ 30.40, I = 100
2θ 30.54, I = 33
2θ 35.29, I = 67
2θ 50.67, I = 24
2θ 50.86, I = 23
2θ 60.28, I = 33
2θ 60.42, I = 18
2θ 63.26, I = 12

Crystal structure
```
TbPm3Y4
1.0
6.237 0.000 0.000
0.000 3.605 0.000
-2.093 0.000 11.708
Tb Pm Y
1 3 4
direct
0.000 0.000 0.000
0.000 0.500 0.500
0.500 0.000 0.500
0.500 0.500 0.000
0.249 0.500 0.249
0.250 0.000 0.751
0.750 0.000 0.249
0.751 0.500 0.751
```